# 1
This entry pairs a crystal structure of Ho4PuSi4 with its theoretical powder diffraction line list. Radiation: Cu Kα, 1.54184 Å. Structure: a DFT-relaxed cell (PBE, Alexandria).
Kinematic intensities with the Lorentz-polarization factor, no thermal factor.

Main lines, by angle (2θ = 10–80°):
- 2θ 18.45, intensity 15, (1 0 1)
- 2θ 25.39, intensity 16, (2 0 1)
- 2θ 27.33, intensity 100, (2 1 1)
- 2θ 31.85, intensity 79, (1 3 0)
- 2θ 32.90, intensity 33, (1 0 2)
- 2θ 35.60, intensity 17, (3 1 1)
- 2θ 45.67, intensity 27, (4 2 0)
- 2θ 48.80, intensity 22, (2 3 2)
- 2θ 53.24, intensity 20, (1 4 2)
- 2θ 54.04, intensity 28, (5 0 1)

Crystal structure
```
data_Ho4PuSi4
_symmetry_space_group_name_H-M 'P 42/n'
_symmetry_Int_Tables_number 86
_cell_length_a 8.8839
_cell_length_b 8.8839
_cell_length_c 5.7204
_cell_angle_alpha 90.00
_cell_angle_beta 90.00
_cell_angle_gamma 90.00
loop_
_symmetry_equiv_pos_as_xyz
'x,y,z'
'-x,-y,-z'
'-y,x+1/2,z+1/2'
'y,-x+1/2,-z+1/2'
'-x+1/2,-y+1/2,z'
'x+1/2,y+1/2,-z'
'y+1/2,-x,z+1/2'
'-y+1/2,x,-z+1/2'
loop_
_atom_site_label
_atom_site_fract_x
_atom_site_fract_y
_atom_site_fract_z
Ho1 0.0673 0.6632 0.1229
Pu1 0.2500 0.2500 0.2500
Si1 0.0204 0.6158 0.6187
```

---

# 2
This entry pairs a crystal structure of Sm3Ho6Pu with its theoretical powder diffraction line list. Radiation: Cu Kα, 1.54184 Å. Structure: a DFT-relaxed cell (PBE, Alexandria).
Kinematic intensities with the Lorentz-polarization factor, no thermal factor.

Main lines, by angle (2θ = 10–80°):
- 2θ 25.48, intensity 78, (1 1 -2)
- 2θ 30.36, intensity 59, (0 2 1)
- 2θ 30.53, intensity 77, (4 0 0)
- 2θ 31.15, intensity 67, (2 0 -3)
- 2θ 31.58, intensity 78, (2 2 0)
- 2θ 33.55, intensity 100, (5 1 -2)
- 2θ 37.65, intensity 53, (0 2 2)
- 2θ 38.15, intensity 25, (6 0 -3)
- 2θ 52.65, intensity 28, (5 3 -2)
- 2θ 54.93, intensity 29, (6 2 0)

Crystal structure
```
data_Sm3Ho6Pu
_symmetry_space_group_name_H-M 'C 1 2/m 1'
_symmetry_Int_Tables_number 12
_cell_length_a 14.6920
_cell_length_b 6.4755
_cell_length_c 8.8839
_cell_angle_alpha 90.00
_cell_angle_beta 127.15
_cell_angle_gamma 90.00
loop_
_symmetry_equiv_pos_as_xyz
'x,y,z'
'-x,-y,-z'
'-x,y,-z'
'x,-y,z'
'x+1/2,y+1/2,z'
'-x+1/2,-y+1/2,-z'
'-x+1/2,y+1/2,-z'
'x+1/2,-y+1/2,z'
loop_
_atom_site_label
_atom_site_fract_x
_atom_site_fract_y
_atom_site_fract_z
Sm1 0.0000 0.0000 0.0000
Sm2 0.0116 0.5000 0.2865
Ho1 0.2021 0.0000 0.4555
Ho2 0.2416 0.2511 0.8123
Pu1 0.0000 0.0000 0.5000
```

---

# 3
This entry pairs a crystal structure of Sm3Ho8Pu with its theoretical powder diffraction line list. Radiation: Cu Kα, 1.54184 Å. Structure: a DFT-relaxed cell (PBE, Alexandria).
Kinematic intensities with the Lorentz-polarization factor, no thermal factor.

Main lines, by angle (2θ = 10–80°):
- 2θ 14.49, intensity 38, (1 1 0)
- 2θ 21.40, intensity 32, (1 1 2)
- 2θ 24.33, intensity 50, (2 1 1)
- 2θ 29.23, intensity 72, (2 2 0)
- 2θ 31.62, intensity 52, (0 0 4)
- 2θ 33.18, intensity 35, (2 1 3)
- 2θ 36.51, intensity 100, (3 1 2)
- 2θ 43.59, intensity 38, (2 2 4)
- 2θ 44.90, intensity 42, (4 0 2)
- 2θ 59.54, intensity 34, (3 1 6)

Crystal structure
```
data_Sm3Ho8Pu
_symmetry_space_group_name_H-M 'I -4 2 m'
_symmetry_Int_Tables_number 121
_symmetry_space_group_name_Hall 'I -4 2'
_cell_length_a 8.6427
_cell_length_b 8.6427
_cell_length_c 11.3197
_cell_angle_alpha 90.00
_cell_angle_beta 90.00
_cell_angle_gamma 90.00
loop_
_atom_site_label
_atom_site_fract_x
_atom_site_fract_y
_atom_site_fract_z
Sm1 0.0000 0.0000 0.0000
Sm2 0.0000 0.5000 0.2500
Ho1 0.1259 0.1259 0.7325
Ho2 0.2302 0.2302 0.4676
Pu1 0.0000 0.0000 0.5000
```